1.
Li2Fe3P3O12: computed powder X-ray diffraction pattern (Cu Ka), based on a crystal structure in the Materials Project, relaxed with GGA+U.
Neutral-atom scattering factors, no anomalous dispersion.

Most intense lines, 10 to 80 degrees two-theta, in order of rising 2θ:
2θ = 19.80°, rel. 100
2θ = 23.68°, rel. 42
2θ = 23.88°, rel. 41
2θ = 24.11°, rel. 41
2θ = 33.10°, rel. 40
2θ = 33.41°, rel. 35
2θ = 33.74°, rel. 33
2θ = 34.66°, rel. 70
2θ = 48.44°, rel. 18
2θ = 54.12°, rel. 34

Structure:
```
data_Li2Fe3P3O12
_chemical_formula_sum 'Li4 Fe6 P6 O24'
_space_group_name_H-M_alt 'P 1'
_space_group_IT_number 1
_cell_length_a 8.5085
_cell_length_b 8.5085
_cell_length_c 8.3690
_cell_angle_alpha 115.83
_cell_angle_beta 115.83
_cell_angle_gamma 63.62
loop_
_space_group_symop_operation_xyz
'x,y,z'
loop_
_atom_site_label
_atom_site_fract_x
_atom_site_fract_y
_atom_site_fract_z
_atom_site_occupancy
Li1 0.0000 0.0000 0.0000 1
Li2 0.1061 0.4908 0.0969 1
Li3 0.5092 0.8939 0.9031 1
Li4 0.7007 0.2993 0.5000 1
Fe1 0.0029 0.7863 0.6044 1
Fe2 0.2137 0.9971 0.3956 1
Fe3 0.3606 0.1450 0.2570 1
Fe4 0.5090 0.2992 0.0989 1
Fe5 0.7008 0.4910 0.9011 1
Fe6 0.8550 0.6394 0.7430 1
P1 0.1043 0.1843 0.8009 1
P2 0.2980 0.7020 0.0000 1
P3 0.3996 0.6004 0.5000 1
P4 0.6047 0.0849 0.6889 1
P5 0.8157 0.8957 0.1991 1
P6 0.9151 0.3953 0.3111 1
O1 0.0363 0.0347 0.7820 1
O2 0.1011 0.7267 0.8509 1
O3 0.1016 0.2326 0.3140 1
O4 0.1713 0.1254 0.6356 1
O5 0.2460 0.6446 0.5757 1
O6 0.2559 0.2096 0.9960 1
O7 0.2733 0.8989 0.1491 1
O8 0.3245 0.5469 0.0647 1
O9 0.3554 0.7540 0.4243 1
O10 0.4188 0.4047 0.3506 1
O11 0.4515 0.0654 0.4959 1
O12 0.4531 0.6755 0.9353 1
O13 0.5389 0.1151 0.8477 1
O14 0.5953 0.5812 0.6494 1
O15 0.6212 0.0456 0.1902 1
O16 0.6668 0.2408 0.7143 1
O17 0.7592 0.3332 0.2857 1
O18 0.7674 0.8984 0.6860 1
O19 0.7904 0.7441 0.0040 1
O20 0.8746 0.8287 0.3644 1
O21 0.8849 0.4611 0.1523 1
O22 0.9346 0.5485 0.5041 1
O23 0.9544 0.3788 0.8098 1
O24 0.9653 0.9637 0.2180 1
```



2.
Fe2CuS4O22: computed powder X-ray diffraction pattern (Cu Ka), based on a crystal structure in the Materials Project, relaxed with GGA+U.
Neutral-atom scattering factors, no anomalous dispersion.

Most intense lines, 10 to 80 degrees two-theta, in order of rising 2θ:
2θ = 10.56°, rel. 25
2θ = 17.00°, rel. 34
2θ = 18.02°, rel. 80
2θ = 21.54°, rel. 35
2θ = 22.88°, rel. 20
2θ = 23.34°, rel. 34
2θ = 23.45°, rel. 22
2θ = 26.13°, rel. 100
2θ = 26.33°, rel. 48
2θ = 26.76°, rel. 21

Structure:
```
data_Fe2CuS4O22
_chemical_formula_sum 'Fe4 Cu2 S8 O44'
_space_group_name_H-M_alt 'P 1'
_space_group_IT_number 1
_cell_length_a 4.8844
_cell_length_b 16.7509
_cell_length_c 10.4762
_cell_angle_alpha 90.00
_cell_angle_beta 95.42
_cell_angle_gamma 90.00
loop_
_space_group_symop_operation_xyz
'x,y,z'
loop_
_atom_site_label
_atom_site_fract_x
_atom_site_fract_y
_atom_site_fract_z
_atom_site_occupancy
Fe1 0.2498 0.1236 0.0241 1
Fe2 0.2498 0.3764 0.5241 1
Fe3 0.7502 0.6236 0.4759 1
Fe4 0.7502 0.8764 0.9759 1
Cu1 0.5000 0.0000 0.5000 1
Cu2 0.5000 0.5000 0.0000 1
S1 0.2349 0.5307 0.3238 1
S2 0.2349 0.9693 0.8238 1
S3 0.3019 0.7160 0.6377 1
S4 0.3019 0.7840 0.1377 1
S5 0.6981 0.2160 0.8623 1
S6 0.6981 0.2840 0.3623 1
S7 0.7651 0.0307 0.1762 1
S8 0.7651 0.4693 0.6762 1
O1 0.0400 0.0498 0.1301 1
O2 0.0400 0.4502 0.6301 1
O3 0.0998 0.6543 0.5849 1
O4 0.0998 0.8457 0.0849 1
O5 0.1537 0.2176 0.1421 1
O6 0.1537 0.2824 0.6421 1
O7 0.1805 0.7036 0.1326 1
O8 0.1805 0.7964 0.6326 1
O9 0.2061 0.5158 0.1865 1
O10 0.2061 0.9842 0.6865 1
O11 0.2614 0.5689 0.9222 1
O12 0.2614 0.9311 0.4222 1
O13 0.3493 0.0408 0.8965 1
O14 0.3493 0.4592 0.3965 1
O15 0.3526 0.0962 0.4710 1
O16 0.3526 0.4038 0.9710 1
O17 0.3871 0.6987 0.7751 1
O18 0.3871 0.8013 0.2751 1
O19 0.4204 0.6009 0.3554 1
O20 0.4204 0.8991 0.8554 1
O21 0.4513 0.2118 0.9368 1
O22 0.4513 0.2882 0.4368 1
O23 0.5487 0.7118 0.5632 1
O24 0.5487 0.7882 0.0632 1
O25 0.5796 0.1009 0.1446 1
O26 0.5796 0.3991 0.6446 1
O27 0.6129 0.1987 0.7249 1
O28 0.6129 0.3013 0.2249 1
O29 0.6474 0.5962 0.0290 1
O30 0.6474 0.9038 0.5290 1
O31 0.6507 0.5408 0.6035 1
O32 0.6507 0.9592 0.1035 1
O33 0.7386 0.0689 0.5778 1
O34 0.7386 0.4311 0.0778 1
O35 0.7939 0.0158 0.3135 1
O36 0.7939 0.4842 0.8135 1
O37 0.8195 0.2036 0.3674 1
O38 0.8195 0.2964 0.8674 1
O39 0.8463 0.7176 0.3579 1
O40 0.8463 0.7824 0.8579 1
O41 0.9002 0.1543 0.9151 1
O42 0.9002 0.3457 0.4151 1
O43 0.9600 0.5498 0.3699 1
O44 0.9600 0.9502 0.8699 1
```



3.
Li5FeO4: computed powder X-ray diffraction pattern (Cu Ka), based on a crystal structure in the Materials Project, relaxed with GGA+U.
Neutral-atom scattering factors, no anomalous dispersion.

Most intense lines, 10 to 80 degrees two-theta, in order of rising 2θ:
2θ = 16.82°, rel. 65
2θ = 21.02°, rel. 100
2θ = 25.20°, rel. 24
2θ = 25.31°, rel. 56
2θ = 30.45°, rel. 37
2θ = 33.63°, rel. 31
2θ = 34.01°, rel. 30
2θ = 36.37°, rel. 35
2θ = 37.90°, rel. 30
2θ = 58.85°, rel. 31

Structure:
```
data_Li5FeO4
_chemical_formula_sum 'Li20 Fe4 O16'
_space_group_name_H-M_alt 'P 1'
_space_group_IT_number 1
_cell_length_a 7.0691
_cell_length_b 8.1157
_cell_length_c 6.9348
_cell_angle_alpha 90.00
_cell_angle_beta 90.00
_cell_angle_gamma 90.00
loop_
_space_group_symop_operation_xyz
'x,y,z'
loop_
_atom_site_label
_atom_site_fract_x
_atom_site_fract_y
_atom_site_fract_z
_atom_site_occupancy
Li1 0.0000 0.0000 0.2249 1
Li2 0.0000 0.0000 0.7751 1
Li3 0.0135 0.3474 0.2537 1
Li4 0.0135 0.3474 0.7463 1
Li5 0.2404 0.4234 0.5000 1
Li6 0.2464 0.7474 0.5000 1
Li7 0.2536 0.2474 0.0000 1
Li8 0.2596 0.9234 0.0000 1
Li9 0.4865 0.8474 0.2463 1
Li10 0.4865 0.8474 0.7537 1
Li11 0.5000 0.5000 0.2751 1
Li12 0.5000 0.5000 0.7249 1
Li13 0.5135 0.1526 0.2463 1
Li14 0.5135 0.1526 0.7537 1
Li15 0.7404 0.0766 0.0000 1
Li16 0.7464 0.7526 0.0000 1
Li17 0.7536 0.2526 0.5000 1
Li18 0.7596 0.5766 0.5000 1
Li19 0.9865 0.6526 0.2537 1
Li20 0.9865 0.6526 0.7463 1
Fe1 0.2419 0.6171 0.0000 1
Fe2 0.2581 0.1171 0.5000 1
Fe3 0.7419 0.8829 0.5000 1
Fe4 0.7581 0.3829 0.0000 1
O1 0.0304 0.2390 0.5000 1
O2 0.0298 0.7739 0.0000 1
O3 0.2208 0.5106 0.2422 1
O4 0.2208 0.5106 0.7578 1
O5 0.2792 0.0106 0.2578 1
O6 0.2792 0.0106 0.7422 1
O7 0.4702 0.2739 0.5000 1
O8 0.4696 0.7390 0.0000 1
O9 0.5304 0.2610 0.0000 1
O10 0.5298 0.7261 0.5000 1
O11 0.7208 0.9894 0.2578 1
O12 0.7208 0.9894 0.7422 1
O13 0.7792 0.4894 0.2422 1
O14 0.7792 0.4894 0.7578 1
O15 0.9702 0.2261 0.0000 1
O16 0.9696 0.7610 0.5000 1
```



4.
Co4OF11: computed powder X-ray diffraction pattern (Cu Ka), based on a crystal structure in the Materials Project, relaxed with GGA+U.
Neutral-atom scattering factors, no anomalous dispersion.

Most intense lines, 10 to 80 degrees two-theta, in order of rising 2θ:
2θ = 24.22°, rel. 100
2θ = 24.57°, rel. 49
2θ = 33.57°, rel. 12
2θ = 33.76°, rel. 11
2θ = 34.13°, rel. 10
2θ = 35.39°, rel. 9
2θ = 49.55°, rel. 9
2θ = 49.67°, rel. 9
2θ = 54.74°, rel. 14
2θ = 55.24°, rel. 13

Structure:
```
data_Co4OF11
_chemical_formula_sum 'Co4 O1 F11'
_space_group_name_H-M_alt 'P 1'
_space_group_IT_number 1
_cell_length_a 5.0671
_cell_length_b 5.3504
_cell_length_c 7.2640
_cell_angle_alpha 93.76
_cell_angle_beta 90.88
_cell_angle_gamma 90.07
loop_
_space_group_symop_operation_xyz
'x,y,z'
loop_
_atom_site_label
_atom_site_fract_x
_atom_site_fract_y
_atom_site_fract_z
_atom_site_occupancy
Co1 0.0000 0.0000 0.0000 1
Co2 0.0021 0.0008 0.5003 1
Co3 0.4943 0.4996 0.0135 1
Co4 0.4994 0.5004 0.4942 1
O1 0.4103 0.5037 0.2598 1
F1 0.1252 0.9997 0.2463 1
F2 0.1963 0.6850 0.9408 1
F3 0.2005 0.3128 0.5571 1
F4 0.3026 0.8166 0.5583 1
F5 0.3119 0.1890 0.9413 1
F6 0.6092 0.5009 0.7414 1
F7 0.6928 0.8128 0.0628 1
F8 0.7042 0.1834 0.4386 1
F9 0.8064 0.6895 0.4424 1
F10 0.8124 0.3172 0.0567 1
F11 0.8852 0.0018 0.7538 1
```



5.
Li14W7O32: computed powder X-ray diffraction pattern (Cu Ka), based on a crystal structure in the Materials Project, relaxed with GGA+U.
Neutral-atom scattering factors, no anomalous dispersion.

Most intense lines, 10 to 80 degrees two-theta, in order of rising 2θ:
2θ = 15.90°, rel. 100
2θ = 18.38°, rel. 21
2θ = 22.56°, rel. 43
2θ = 26.10°, rel. 21
2θ = 27.72°, rel. 51
2θ = 29.25°, rel. 26
2θ = 38.44°, rel. 27
2θ = 40.73°, rel. 26
2θ = 53.70°, rel. 21
2θ = 56.38°, rel. 20

Structure:
```
data_Li14W7O32
_chemical_formula_sum 'Li14 W7 O32'
_space_group_name_H-M_alt 'P 1'
_space_group_IT_number 1
_cell_length_a 9.6552
_cell_length_b 9.6552
_cell_length_c 9.6552
_cell_angle_alpha 90.00
_cell_angle_beta 90.00
_cell_angle_gamma 90.00
loop_
_space_group_symop_operation_xyz
'x,y,z'
loop_
_atom_site_label
_atom_site_fract_x
_atom_site_fract_y
_atom_site_fract_z
_atom_site_occupancy
Li1 0.0000 0.0000 0.0000 1
Li2 0.0000 0.0000 0.5000 1
Li3 0.0000 0.5000 0.0000 1
Li4 0.2712 0.5000 0.5000 1
Li5 0.2868 0.2868 0.7132 1
Li6 0.2868 0.7132 0.2868 1
Li7 0.5000 0.0000 0.0000 1
Li8 0.5000 0.2712 0.5000 1
Li9 0.5000 0.5000 0.2712 1
Li10 0.5000 0.5000 0.7288 1
Li11 0.5000 0.7288 0.5000 1
Li12 0.7132 0.2868 0.2868 1
Li13 0.7132 0.7132 0.7132 1
Li14 0.7288 0.5000 0.5000 1
W1 0.0000 0.5000 0.5000 1
W2 0.1325 0.1325 0.8675 1
W3 0.1325 0.8675 0.1325 1
W4 0.5000 0.0000 0.5000 1
W5 0.5000 0.5000 0.0000 1
W6 0.8675 0.1325 0.1325 1
W7 0.8675 0.8675 0.8675 1
O1 0.0979 0.0979 0.0979 1
O2 0.0979 0.9021 0.9021 1
O3 0.1181 0.1181 0.6795 1
O4 0.1181 0.3205 0.8819 1
O5 0.1181 0.6795 0.1181 1
O6 0.1181 0.8819 0.3205 1
O7 0.1206 0.3978 0.3978 1
O8 0.1206 0.6022 0.6022 1
O9 0.3205 0.1181 0.8819 1
O10 0.3205 0.8819 0.1181 1
O11 0.3978 0.1206 0.3978 1
O12 0.3978 0.3978 0.1206 1
O13 0.3978 0.6022 0.8794 1
O14 0.3978 0.8794 0.6022 1
O15 0.3990 0.3990 0.6010 1
O16 0.3990 0.6010 0.3990 1
O17 0.6010 0.3990 0.3990 1
O18 0.6010 0.6010 0.6010 1
O19 0.6022 0.1206 0.6022 1
O20 0.6022 0.3978 0.8794 1
O21 0.6022 0.6022 0.1206 1
O22 0.6022 0.8794 0.3978 1
O23 0.6795 0.1181 0.1181 1
O24 0.6795 0.8819 0.8819 1
O25 0.8794 0.3978 0.6022 1
O26 0.8794 0.6022 0.3978 1
O27 0.8819 0.1181 0.3205 1
O28 0.8819 0.3205 0.1181 1
O29 0.8819 0.6795 0.8819 1
O30 0.8819 0.8819 0.6795 1
O31 0.9021 0.0979 0.9021 1
O32 0.9021 0.9021 0.0979 1
```



6.
Li2FeAsCO7: computed powder X-ray diffraction pattern (Cu Ka), based on a crystal structure in the Materials Project, relaxed with GGA+U.
Neutral-atom scattering factors, no anomalous dispersion.

Most intense lines, 10 to 80 degrees two-theta, in order of rising 2θ:
2θ = 10.23°, rel. 100
2θ = 19.46°, rel. 25
2θ = 20.54°, rel. 20
2θ = 24.60°, rel. 32
2θ = 26.05°, rel. 31
2θ = 26.98°, rel. 48
2θ = 28.92°, rel. 11
2θ = 34.69°, rel. 22
2θ = 39.09°, rel. 12
2θ = 44.49°, rel. 11

Structure:
```
data_Li2FeAsCO7
_chemical_formula_sum 'Li4 Fe2 As2 C2 O14'
_space_group_name_H-M_alt 'P 1'
_space_group_IT_number 1
_cell_length_a 5.1807
_cell_length_b 6.6103
_cell_length_c 8.6664
_cell_angle_alpha 90.00
_cell_angle_beta 93.47
_cell_angle_gamma 90.00
loop_
_space_group_symop_operation_xyz
'x,y,z'
loop_
_atom_site_label
_atom_site_fract_x
_atom_site_fract_y
_atom_site_fract_z
_atom_site_occupancy
Li1 0.2063 0.0134 0.2942 1
Li2 0.2063 0.4866 0.2942 1
Li3 0.7937 0.5134 0.7058 1
Li4 0.7937 0.9866 0.7058 1
Fe1 0.2125 0.7500 0.8425 1
Fe2 0.7875 0.2500 0.1575 1
As1 0.2771 0.2500 0.9220 1
As2 0.7229 0.7500 0.0780 1
C1 0.2618 0.7500 0.5538 1
C2 0.7382 0.2500 0.4462 1
O1 0.0331 0.7500 0.6126 1
O2 0.1662 0.2500 0.1060 1
O3 0.1711 0.0464 0.8156 1
O4 0.1711 0.4536 0.8156 1
O5 0.2903 0.7500 0.4096 1
O6 0.3898 0.7500 0.0503 1
O7 0.4582 0.7500 0.6582 1
O8 0.5418 0.2500 0.3418 1
O9 0.6102 0.2500 0.9497 1
O10 0.7097 0.2500 0.5904 1
O11 0.8289 0.5464 0.1844 1
O12 0.8289 0.9536 0.1844 1
O13 0.8338 0.7500 0.8940 1
O14 0.9669 0.2500 0.3874 1
```